1.
Starting from the GGA-PBE geometry in the Materials Project, the powder XRD pattern of Bi8Mo3 was simulated for Cu Kα, 1.54184 Å.
Neutral-atom scattering factors, no anomalous dispersion.

Atomic structure:
```
Bi8Mo3
1.0
7.319 0.000 0.000
0.000 4.901 0.000
-3.585 0.000 16.770
Bi Mo
16 6
Cartesian
-1.073 1.225 6.836
-0.060 3.676 4.815
0.838 1.225 2.829
1.611 3.676 0.563
-1.187 1.225 15.061
-0.347 3.676 12.825
0.718 3.676 8.127
0.320 1.225 10.647
3.414 3.676 6.123
3.016 1.225 8.643
4.081 1.225 3.945
4.921 3.676 1.709
2.123 1.225 16.208
2.896 3.676 13.941
3.794 1.225 11.955
4.807 3.676 9.934
1.618 1.225 5.850
2.456 3.676 3.430
3.302 1.225 1.103
0.432 3.676 15.667
1.278 1.225 13.340
2.116 3.676 10.920
```

Main lines, in order of rising 2θ (2θ = 10–80°):
two_theta  Rel. int.
26.53  26.8
32.38  91.1
32.53  100.0
36.67  51.3
37.00  39.7
53.07  27.8

2.
Starting from the GGA-PBE geometry in the Materials Project, the powder XRD pattern of Zr3Pt was simulated for Cu Kα, 1.54184 Å.
Neutral-atom scattering factors, no anomalous dispersion.

Atomic structure:
```
Zr3Pt
1.0
6.081 0.000 0.000
-3.041 5.266 0.000
0.000 0.000 5.131
Zr Pt
6 2
Cartesian
0.000 1.823 1.283
-1.462 4.355 1.283
1.578 0.911 3.848
1.462 4.355 1.283
4.503 0.911 3.848
3.041 3.444 3.848
0.000 3.511 3.848
3.041 1.755 1.283
```

Main lines, in order of rising 2θ (2θ = 10–80°):
two_theta  Rel. int.
34.05  23.3
34.98  29.1
38.43  100.0
60.94  16.8
65.03  20.9
72.24  20.1

3.
Starting from the GGA-PBE geometry in the Materials Project, the powder XRD pattern of KIO2F2 was simulated for Cu Kα, 1.54184 Å.
Neutral-atom scattering factors, no anomalous dispersion.

Atomic structure:
```
KIO2F2
1.0
8.809 0.000 0.000
0.000 6.006 0.000
0.000 0.000 8.732
K I O F
4 4 8 8
Cartesian
1.913 0.106 0.000
2.492 0.106 4.366
6.318 5.899 0.000
6.896 5.899 4.366
0.155 2.723 6.662
4.250 2.723 2.296
4.560 3.283 6.662
8.654 3.283 2.296
0.097 2.945 8.460
1.766 1.933 6.459
2.639 1.933 2.093
4.308 2.945 4.094
4.502 3.061 8.460
6.170 4.073 6.459
7.044 4.073 2.093
8.712 3.061 4.094
0.698 5.175 2.474
0.957 4.565 6.439
3.448 4.565 2.073
3.707 5.175 6.840
5.102 0.831 2.474
5.361 1.440 6.439
7.853 1.440 2.073
8.112 0.831 6.840
```

Main lines, in order of rising 2θ (2θ = 10–80°):
two_theta  Rel. int.
14.75  54.8
20.16  35.4
20.34  52.5
25.07  100.0
25.22  75.5
28.79  59.5